# 1
This entry pairs a crystal structure of HoSc with its simulated powder diffractogram. Radiation: Cu Kα. Structure: a cell relaxed with PBE.
Neutral-atom scattering factors, no anomalous dispersion.

Most intense lines, 2θ from 10° to 90°, in order of falling intensity:
2theta  d (Å)  I (rel.)
34.44  2.604  100
30.00  2.979  42
16.52  5.365  37
45.51  1.993  27
33.41  2.682  22
60.38  1.533  19
64.35  1.448  19
53.27  1.720  17
64.99  1.435  16
88.81  1.102  14

Structure:
abc: 3.439 3.439 5.365
angles: 90.00 90.00 120.00
Fractional coordinates of all 2 atoms:
Ho (0.000, 0.000, 0.000)
Sc (0.667, 0.333, 0.500)

# 2
This entry pairs a crystal structure of HfTe2 with its simulated powder diffractogram. Radiation: Cu Kα. Structure: a cell relaxed with PBE.
Neutral-atom scattering factors, no anomalous dispersion.

Most intense lines, 2θ from 10° to 90°, in order of falling intensity:
2theta  d (Å)  I (rel.)
32.08  2.790  100
28.84  3.096  100
12.31  7.192  94
46.25  1.963  67
40.94  2.204  53
36.20  2.481  37
26.72  3.336  36
45.81  1.981  32
59.73  1.548  21
70.77  1.331  17

Structure:
abc: 3.960 3.960 14.384
angles: 90.00 90.00 119.95
Fractional coordinates of all 6 atoms:
Hf (0.220, 0.780, 0.500)
Hf (0.780, 0.220, 0.000)
Te (0.114, 0.886, 0.123)
Te (0.446, 0.554, 0.876)
Te (0.554, 0.446, 0.376)
Te (0.886, 0.114, 0.623)